Structure and theoretical powder X-ray diffraction pattern of Ce2Y7Ho2 (a cell relaxed with PBE; Cu Kα X-rays).

Main lines, in order of rising 2θ (10 to 90 degrees two-theta):
3.578 Å, I 124
3.471 Å, I 100
2.843 Å, I 1000
2.834 Å, I 363
2.629 Å, I 224
2.589 Å, I 274
2.010 Å, I 133
1.798 Å, I 98
1.643 Å, I 77
1.556 Å, I 90

Atomic structure:
```
Ce2Y7Ho2
1.0
5.7168 -5.6972 0.0000
5.7168 5.6972 0.0000
-2.1307 0.0000 5.4911
Ce Y Ho
2 7 2
direct
0.0601 0.0601 0.3196 Ce
0.9399 0.9399 0.6804 Ce
0.0893 0.5490 0.3200 Y
0.2774 0.2774 0.8986 Y
0.4510 0.9107 0.6800 Y
0.5000 0.5000 0.5000 Y
0.5490 0.0893 0.3200 Y
0.7226 0.7226 0.1014 Y
0.9107 0.4510 0.6800 Y
0.2809 0.7191 0.0000 Ho
0.7191 0.2809 0.0000 Ho
```